Diffraction record for LiPm12Al4O3. The powder X-ray diffraction pattern is calculated, not measured: it uses a PBE-relaxed structure and Cu Kα.

Atomic structure:
```
data_LiPm12Al4O3
_cell_length_a 8.652
_cell_length_b 8.652
_cell_length_c 8.652
_cell_angle_alpha 109.47
_cell_angle_beta 109.47
_cell_angle_gamma 109.47
_space_group_name_H-M_alt 'P 1'
_space_group_IT_number 1
_space_group_name_Hall 'P 1'
loop_
_atom_site_label
_atom_site_fract_x
_atom_site_fract_y
_atom_site_fract_z
Li1 0.000 0.000 0.000
Pm1 0.000 0.263 0.263
Pm2 0.000 0.737 0.737
Pm3 0.250 0.500 0.750
Pm4 0.250 0.750 0.500
Pm5 0.263 0.000 0.263
Pm6 0.263 0.263 0.000
Pm7 0.500 0.250 0.750
Pm8 0.500 0.750 0.250
Pm9 0.737 0.000 0.737
Pm10 0.737 0.737 0.000
Pm11 0.750 0.250 0.500
Pm12 0.750 0.500 0.250
Al1 0.000 0.000 0.500
Al2 0.000 0.500 0.000
Al3 0.500 0.000 0.000
Al4 0.500 0.500 0.500
O1 0.000 0.500 0.500
O2 0.500 0.000 0.500
O3 0.500 0.500 0.000
```

Largest 10 diffraction maxima, in order of falling intensity, 2θ from 15° to 90°:
Position (°2θ)	I_rel
31.0	100
36.0	57
61.6	41
51.8	39
17.8	26
87.3	17
84.6	17
25.2	13
64.6	13
40.4	12



Diffraction record for Li2Pr2AlO6. The powder X-ray diffraction pattern is calculated, not measured: it uses a PBE-relaxed structure and Cu Kα.

Atomic structure:
```
data_Li2Pr2AlO6
_cell_length_a 5.745
_cell_length_b 5.745
_cell_length_c 5.745
_cell_angle_alpha 57.79
_cell_angle_beta 57.79
_cell_angle_gamma 57.79
_space_group_name_H-M_alt 'P 1'
_space_group_IT_number 1
_space_group_name_Hall 'P 1'
loop_
_atom_site_label
_atom_site_fract_x
_atom_site_fract_y
_atom_site_fract_z
Li1 0.070 0.070 0.070
Li2 0.930 0.930 0.930
Pr1 0.278 0.278 0.278
Pr2 0.722 0.722 0.722
Al1 0.500 0.500 0.500
O1 0.264 0.264 0.721
O2 0.264 0.721 0.264
O3 0.279 0.736 0.736
O4 0.721 0.264 0.264
O5 0.736 0.279 0.736
O6 0.736 0.736 0.279
```

Largest 10 diffraction maxima, in order of falling intensity, 2θ from 15° to 90°:
Position (°2θ)	I_rel
22.3	100
32.2	87
39.5	63
31.2	49
45.5	44
36.5	41
60.3	24
68.0	24
19.5	24
51.9	23



Diffraction record for Li2Pu2AlO6. The powder X-ray diffraction pattern is calculated, not measured: it uses a PBE-relaxed structure and Cu Kα.

Atomic structure:
```
data_Li2Pu2AlO6
_cell_length_a 5.720
_cell_length_b 5.720
_cell_length_c 5.720
_cell_angle_alpha 58.10
_cell_angle_beta 58.10
_cell_angle_gamma 58.10
_space_group_name_H-M_alt 'P 1'
_space_group_IT_number 1
_space_group_name_Hall 'P 1'
loop_
_atom_site_label
_atom_site_fract_x
_atom_site_fract_y
_atom_site_fract_z
Li1 0.075 0.075 0.075
Li2 0.925 0.925 0.925
Pu1 0.290 0.290 0.290
Pu2 0.710 0.710 0.710
Al1 0.500 0.500 0.500
O1 0.263 0.263 0.713
O2 0.263 0.713 0.263
O3 0.287 0.737 0.737
O4 0.713 0.263 0.263
O5 0.737 0.287 0.737
O6 0.737 0.737 0.287
```

Largest 10 diffraction maxima, in order of falling intensity, 2θ from 15° to 90°:
Position (°2θ)	I_rel
22.3	100
32.2	80
36.7	54
39.6	45
37.5	41
18.7	40
60.4	30
19.5	27
49.7	26
51.9	24



Diffraction record for Li2PuAl3O8. The powder X-ray diffraction pattern is calculated, not measured: it uses a PBE-relaxed structure and Cu Kα.

Atomic structure:
```
data_Li2PuAl3O8
_cell_length_a 5.807
_cell_length_b 5.807
_cell_length_c 5.807
_cell_angle_alpha 61.85
_cell_angle_beta 61.85
_cell_angle_gamma 61.85
_space_group_name_H-M_alt 'P 1'
_space_group_IT_number 1
_space_group_name_Hall 'P 1'
loop_
_atom_site_label
_atom_site_fract_x
_atom_site_fract_y
_atom_site_fract_z
Li1 0.000 0.000 0.000
Li2 0.366 0.366 0.366
Pu1 0.786 0.786 0.786
Al1 0.372 0.372 0.887
Al2 0.372 0.887 0.372
Al3 0.887 0.372 0.372
O1 0.102 0.102 0.595
O2 0.102 0.595 0.102
O3 0.133 0.133 0.133
O4 0.191 0.603 0.603
O5 0.595 0.102 0.102
O6 0.603 0.191 0.603
O7 0.603 0.603 0.191
O8 0.623 0.623 0.623
```

Largest 10 diffraction maxima, in order of falling intensity, 2θ from 15° to 90°:
Position (°2θ)	I_rel
18.3	100
21.4	87
35.7	60
19.0	50
35.3	46
30.8	42
29.9	40
36.5	30
49.5	29
47.0	26



Diffraction record for LiPuAlO4. The powder X-ray diffraction pattern is calculated, not measured: it uses a PBE-relaxed structure and Cu Kα.

Atomic structure:
```
data_LiPuAlO4
_cell_length_a 6.291
_cell_length_b 6.291
_cell_length_c 6.291
_cell_angle_alpha 124.44
_cell_angle_beta 112.68
_cell_angle_gamma 92.80
_space_group_name_H-M_alt 'P 1'
_space_group_IT_number 1
_space_group_name_Hall 'P 1'
loop_
_atom_site_label
_atom_site_fract_x
_atom_site_fract_y
_atom_site_fract_z
Li1 0.358 0.108 0.250
Li2 0.642 0.892 0.750
Pu1 0.000 0.500 0.500
Pu2 0.500 0.500 0.000
Al1 0.000 0.000 0.500
Al2 0.000 0.500 0.000
O1 0.186 0.749 0.437
O2 0.188 0.251 0.937
O3 0.229 0.243 0.514
O4 0.229 0.716 0.986
O5 0.771 0.284 0.014
O6 0.771 0.757 0.486
O7 0.812 0.749 0.063
O8 0.814 0.251 0.563
```

Largest 10 diffraction maxima, in order of falling intensity, 2θ from 15° to 90°:
Position (°2θ)	I_rel
18.3	100
31.6	55
20.5	30
40.2	25
34.6	22
43.5	22
33.0	18
45.5	17
59.2	16
25.5	15



Diffraction record for LiAlSi2O7. The powder X-ray diffraction pattern is calculated, not measured: it uses a PBE-relaxed structure and Cu Kα.

Atomic structure:
```
data_LiAlSi2O7
_cell_length_a 5.065
_cell_length_b 7.720
_cell_length_c 8.747
_cell_angle_alpha 66.11
_cell_angle_beta 89.75
_cell_angle_gamma 89.94
_space_group_name_H-M_alt 'P 1'
_space_group_IT_number 1
_space_group_name_Hall 'P 1'
loop_
_atom_site_label
_atom_site_fract_x
_atom_site_fract_y
_atom_site_fract_z
Li1 0.000 0.000 0.000
Li2 0.494 0.842 0.564
Al1 0.002 0.796 0.396
Al2 0.490 0.820 0.917
Si1 0.041 0.373 0.411
Si2 0.502 0.988 0.186
Si3 0.538 0.388 0.194
Si4 0.989 0.955 0.678
O1 0.036 0.555 0.456
O2 0.079 0.308 0.866
O3 0.119 0.859 0.559
O4 0.173 0.915 0.843
O5 0.189 0.926 0.212
O6 0.336 0.335 0.354
O7 0.461 0.581 0.040
O8 0.532 0.215 0.131
O9 0.626 0.942 0.033
O10 0.667 0.872 0.360
O11 0.693 0.867 0.738
O12 0.837 0.399 0.259
O13 0.958 0.184 0.576
O14 0.964 0.453 0.856
```

Largest 10 diffraction maxima, in order of falling intensity, 2θ from 15° to 90°:
Position (°2θ)	I_rel
20.7	100
25.2	95
20.8	84
26.0	59
35.5	54
26.6	29
27.1	21
19.9	21
27.2	17
28.5	16



Diffraction record for Li2AlSiO4. The powder X-ray diffraction pattern is calculated, not measured: it uses a PBE-relaxed structure and Cu Kα.

Atomic structure:
```
data_Li2AlSiO4
_cell_length_a 4.479
_cell_length_b 4.527
_cell_length_c 5.185
_cell_angle_alpha 115.37
_cell_angle_beta 115.36
_cell_angle_gamma 90.26
_space_group_name_H-M_alt 'P 1'
_space_group_IT_number 1
_space_group_name_Hall 'P 1'
loop_
_atom_site_label
_atom_site_fract_x
_atom_site_fract_y
_atom_site_fract_z
Li1 0.000 0.000 0.000
Li2 0.245 0.725 0.486
Al1 0.701 0.256 0.474
Si1 0.471 0.470 0.013
O1 0.105 0.173 0.713
O2 0.410 0.847 0.230
O3 0.611 0.562 0.787
O4 0.828 0.369 0.229
```

Largest 10 diffraction maxima, in order of falling intensity, 2θ from 15° to 90°:
Position (°2θ)	I_rel
35.5	100
22.5	88
22.3	61
35.8	58
35.7	57
22.6	45
61.1	28
60.5	19
57.8	17
58.1	15



Diffraction record for Li2Al2Si4O13. The powder X-ray diffraction pattern is calculated, not measured: it uses a PBE-relaxed structure and Cu Kα.

Atomic structure:
```
data_Li2Al2Si4O13
_cell_length_a 5.056
_cell_length_b 7.707
_cell_length_c 8.702
_cell_angle_alpha 113.62
_cell_angle_beta 90.30
_cell_angle_gamma 90.16
_space_group_name_H-M_alt 'P 1'
_space_group_IT_number 1
_space_group_name_Hall 'P 1'
loop_
_atom_site_label
_atom_site_fract_x
_atom_site_fract_y
_atom_site_fract_z
Li1 0.000 0.000 0.000
Li2 0.483 0.798 0.420
Al1 0.000 0.005 0.350
Al2 0.496 0.031 0.825
Si1 0.458 0.459 0.847
Si2 0.503 0.877 0.112
Si3 0.958 0.438 0.630
Si4 0.995 0.838 0.615
O1 0.023 0.241 0.480
O2 0.156 0.488 0.792
O3 0.279 0.537 0.329
O4 0.303 0.909 0.642
O5 0.318 0.915 0.276
O6 0.373 0.970 0.989
O7 0.483 0.273 0.887
O8 0.534 0.647 0.015
O9 0.654 0.449 0.694
O10 0.799 0.967 0.171
O11 0.827 0.946 0.788
O12 0.862 0.874 0.458
O13 0.986 0.608 0.560
```

Largest 10 diffraction maxima, in order of falling intensity, 2θ from 15° to 90°:
Position (°2θ)	I_rel
20.9	100
20.7	90
25.2	78
26.2	55
19.9	36
35.5	35
37.7	19
27.2	18
21.9	15
23.1	15



Diffraction record for LiSm2AlO5. The powder X-ray diffraction pattern is calculated, not measured: it uses a PBE-relaxed structure and Cu Kα.

Atomic structure:
```
data_LiSm2AlO5
_cell_length_a 6.575
_cell_length_b 6.575
_cell_length_c 5.634
_cell_angle_alpha 90.00
_cell_angle_beta 90.00
_cell_angle_gamma 90.00
_space_group_name_H-M_alt 'P 1'
_space_group_IT_number 1
_space_group_name_Hall 'P 1'
loop_
_atom_site_label
_atom_site_fract_x
_atom_site_fract_y
_atom_site_fract_z
Li1 0.000 0.000 0.000
Li2 0.500 0.500 0.000
Sm1 0.178 0.322 0.500
Sm2 0.322 0.822 0.500
Sm3 0.678 0.178 0.500
Sm4 0.822 0.678 0.500
Al1 0.000 0.500 0.000
Al2 0.500 0.000 0.000
O1 0.000 0.000 0.500
O2 0.134 0.634 0.232
O3 0.134 0.634 0.768
O4 0.366 0.134 0.232
O5 0.366 0.134 0.768
O6 0.500 0.500 0.500
O7 0.634 0.866 0.232
O8 0.634 0.866 0.768
O9 0.866 0.366 0.232
O10 0.866 0.366 0.768
```

Largest 10 diffraction maxima, in order of falling intensity, 2θ from 15° to 90°:
Position (°2θ)	I_rel
15.7	100
34.4	73
44.5	50
31.5	40
30.4	28
60.3	22
31.8	19
46.6	17
67.5	16
27.1	15